No. 1
# SrCaTc2O8
Theoretical PXRD pattern, copper Kα. Input: a PBE-relaxed structure.

Main lines, in order of rising 2θ (2θ = 5–70°):
hkl 1 1 2, 27.82 deg, intensity 100
hkl 0 0 4, 29.87 deg, intensity 14
hkl 2 0 0, 33.36 deg, intensity 16
hkl 2 0 4, 45.38 deg, intensity 28
hkl 1 1 6, 51.78 deg, intensity 16
hkl 1 3 2, 56.29 deg, intensity 25

Structural model:
Cell: 5.3723 5.3723 11.9635 Å, 90.00 90.00 90.00°
Space group I-4 (No. 82)
Symmetry-distinct sites (fractional):
Sr (0.0000, 0.0000, 0.0000)
Ca (0.0000, 0.5000, 0.7500)
Tc (0.0000, 0.0000, 0.5000)
Tc (0.0000, 0.5000, 0.2500)
O (0.1344, 0.2482, 0.5805)
O (0.1503, 0.7458, 0.1739)


No. 2
# YGa2AgAu5
Theoretical PXRD pattern, copper Kα. Input: a PBE-relaxed structure.

Main lines, in order of rising 2θ (2θ = 5–70°):
hkl 1 1 2, 34.57 deg, intensity 100
hkl 2 0 0, 39.18 deg, intensity 50
hkl 0 0 4, 41.99 deg, intensity 28
hkl 2 2 0, 56.61 deg, intensity 17
hkl 2 0 4, 58.76 deg, intensity 15
hkl 3 1 2, 68.05 deg, intensity 34

Structural model:
Cell: 4.5984 4.5984 8.6096 Å, 90.00 90.00 90.00°
Space group P4/mmm (No. 123)
Symmetry-distinct sites (fractional):
Y (0.0000, 0.0000, 0.0000)
Ga (0.5000, 0.5000, 0.3601)
Ag (0.0000, 0.0000, 0.5000)
Au (0.0000, 0.5000, 0.2277)
Au (0.5000, 0.5000, 0.0000)


No. 3
# CeTh2Ga
Theoretical PXRD pattern, copper Kα. Input: a PBE-relaxed structure.

Main lines, in order of rising 2θ (2θ = 5–70°):
hkl 1 1 1, 32.52 deg, intensity 100
hkl 2 0 0, 37.00 deg, intensity 35
hkl 0 0 2, 39.13 deg, intensity 15
hkl 2 0 2, 54.95 deg, intensity 23
hkl 3 1 1, 63.86 deg, intensity 29
hkl 1 1 3, 66.76 deg, intensity 13

Structural model:
Cell: 4.8591 4.8591 4.6041 Å, 90.00 90.00 90.00°
Space group P4/mmm (No. 123)
Symmetry-distinct sites (fractional):
Ce (0.0000, 0.0000, 0.0000)
Th (0.0000, 0.5000, 0.5000)
Ga (0.5000, 0.5000, 0.0000)


No. 4
# SmNbB4
Theoretical PXRD pattern, copper Kα. Input: a PBE-relaxed structure.

Main lines, in order of rising 2θ (2θ = 5–70°):
hkl 0 0 1, 24.21 deg, intensity 76
hkl 0 4 0, 29.74 deg, intensity 81
hkl 1 3 1, 36.19 deg, intensity 26
hkl 0 4 1, 38.71 deg, intensity 100
hkl 1 4 1, 41.46 deg, intensity 29
hkl 2 3 1, 44.40 deg, intensity 29

Structural model:
Cell: 6.2078 12.0115 3.6758 Å, 90.00 90.00 90.00°
Space group Pbam (No. 55)
Symmetry-distinct sites (fractional):
Sm (0.1261, 0.1511, 0.0000)
Nb (0.1327, 0.4141, 0.0000)
B (0.0242, 0.6930, 0.5000)
B (0.1149, 0.5475, 0.5000)
B (0.1331, 0.9684, 0.5000)
B (0.2085, 0.8121, 0.5000)